Calculated X-ray diffraction stick pattern of CaAlH5 for λ = 1.5418 Å (Cu Kα), from DFT lattice parameters and positions (GGA-PBE).
No peak broadening, texture or thermal motion is included.

abc: 4.3117 4.9224 12.0885
angles: 90.00 90.00 90.00
Fractional positions:
Ca 0.2111 0.1385 0.3391
Ca 0.2889 0.8615 0.8391
Ca 0.7111 0.3615 0.6609
Ca 0.7889 0.6385 0.1609
Al 0.1880 0.1220 0.0858
Al 0.3120 0.8780 0.5858
Al 0.6880 0.3780 0.9142
Al 0.8120 0.6220 0.4142
H 0.0076 0.8797 0.4910
H 0.0192 0.8751 0.0101
H 0.1239 0.6251 0.3226
H 0.1558 0.1095 0.6754
H 0.1772 0.6134 0.6637
H 0.3228 0.3866 0.1637
H 0.3442 0.8905 0.1754
H 0.3761 0.3749 0.8226
H 0.4808 0.1249 0.5101
H 0.4924 0.1203 0.9910
H 0.5076 0.6203 0.5090
H 0.5192 0.6249 0.9899
H 0.6239 0.8749 0.6774
H 0.6558 0.3905 0.3246
H 0.6772 0.8866 0.3363
H 0.8228 0.1134 0.8363
H 0.8442 0.6095 0.8246
H 0.8761 0.1251 0.1774
H 0.9808 0.3751 0.4899
H 0.9924 0.3797 0.0090

Most intense lines, 10° ≤ 2θ ≤ 80°, low angle first:
| 2θ (°) | d (Å) | I_rel |
| --- | --- | --- |
| 27.50 | 3.243 | 86 |
| 28.49 | 3.133 | 100 |
| 28.63 | 3.118 | 37 |
| 29.56 | 3.022 | 29 |
| 34.84 | 2.575 | 31 |
| 35.53 | 2.527 | 21 |
| 36.30 | 2.475 | 56 |
| 37.28 | 2.412 | 44 |
| 40.81 | 2.211 | 23 |
| 41.90 | 2.156 | 20 |
| 48.19 | 1.888 | 29 |
| 57.31 | 1.608 | 19 |